Structure and simulated powder diffractogram of Al2TlIn (a structure optimized by DFT (PBE); λ = 1.5418 Å (Cu Kα)).
No peak broadening, texture or thermal motion is included.

Structure:
```
8
Lattice="3.0510 0.0000 0.0000 0.0000 5.4125 0.0000 0.0000 0.0000 11.3914" Properties=species:S:1:pos:R:3 pbc="T T T"
Al 0.0000 0.0000 0.0000
Al 0.0000 2.7063 3.3678
Al 1.5255 0.0000 9.0635
Al 1.5255 2.7063 5.6957
Tl 0.0000 0.0000 6.0854
Tl 1.5255 2.7063 0.3897
In 0.0000 2.7063 8.4405
In 1.5255 0.0000 2.7448
```

The 10 most intense peaks (2θ from 10° to 90°), low angle first:
two_theta	d_spacing	I (rel.)	index
15.56	5.696	18.2	0 0 2
18.15	4.889	58.3	0 1 1
28.72	3.108	60.2	0 1 3
30.33	2.947	34.5	1 0 1
31.41	2.848	31.8	0 0 4
33.10	2.706	37.3	0 2 0
37.34	2.408	100.0	1 1 2
45.50	1.993	23.0	1 2 1
46.28	1.962	21.7	0 2 4
61.93	1.498	22.7	1 3 2